Entry 1:
MgCrF6: calculated X-ray powder pattern (Cu Kα (weighted mean of Kα1 and Kα2)), based on a structure optimized by DFT (PBE+U).
Kinematic intensities with the Lorentz-polarization factor, no thermal factor.

Main lines, most intense first (10° ≤ 2θ ≤ 90°):
2θ/deg  I (rel.)
20.77  100
20.95  51
39.43  19
23.35  19
18.33  16
51.60  15
39.56  14
39.92  14
62.38  11
23.51  10

Structure:
```
MgCrF6
1.0
5.1437 0.0000 0.0000
2.5564 4.4677 0.0000
2.5317 1.4274 4.8407
Mg Cr F
1 1 6
Direct
0.0000 0.0000 0.0000
0.1884 0.2017 0.4300
0.1134 0.3944 0.6733
0.2243 0.9951 0.2084
0.3748 0.8397 0.6797
0.5768 0.2326 0.2066
0.8270 0.1275 0.6737
0.9780 0.5861 0.2087
```

Entry 2:
Na2MgCrF7: calculated X-ray powder pattern (Cu Kα (weighted mean of Kα1 and Kα2)), based on a structure optimized by DFT (PBE+U).
Kinematic intensities with the Lorentz-polarization factor, no thermal factor.

Main lines, most intense first (10° ≤ 2θ ≤ 90°):
2θ/deg  I (rel.)
29.32  100
49.50  90
30.02  80
16.96  56
24.17  44
57.99  37
37.84  33
59.19  29
50.20  26
58.75  20

Structure:
```
Na2MgCrF7
1.0
-3.6346 5.1885 3.7628
3.6346 -5.1885 3.7628
3.6346 5.1885 -3.7628
Na Mg Cr F
4 2 2 14
Direct
0.0000 0.0000 0.0000
0.5000 0.0000 0.0000
0.5000 0.0000 0.5000
0.5000 0.5000 0.5000
0.0000 0.0000 0.5000
0.0000 0.5000 0.0000
0.0000 0.5000 0.5000
0.5000 0.5000 0.0000
0.0505 0.2360 0.4173
0.0505 0.6332 0.8145
0.0938 0.8438 0.2500
0.3186 0.2360 0.6855
0.3186 0.6332 0.0827
0.3210 0.7290 0.5920
0.3630 0.2710 0.0920
0.6370 0.7290 0.9080
0.6790 0.2710 0.4080
0.6814 0.3668 0.9173
0.6814 0.7640 0.3145
0.9062 0.1562 0.7500
0.9495 0.3668 0.1855
0.9495 0.7640 0.5827
```

Entry 3:
MgZrCr2F: calculated X-ray powder pattern (Cu Kα (weighted mean of Kα1 and Kα2)), based on a structure optimized by DFT (PBE+U).
Kinematic intensities with the Lorentz-polarization factor, no thermal factor.

Main lines, most intense first (10° ≤ 2θ ≤ 90°):
2θ/deg  I (rel.)
32.01  100
15.85  72
21.73  54
27.01  50
39.03  45
55.69  37
45.90  34
42.37  29
65.70  21
51.33  20

Structure:
```
MgZrCr2F
1.0
5.5918 0.0000 0.0000
0.0000 5.5918 0.0000
0.0000 0.0000 4.0892
Mg Zr Cr F
1 1 2 1
Direct
0.0000 0.0000 0.0000
0.5000 0.5000 0.5000
0.0000 0.5000 0.5000
0.5000 0.0000 0.5000
0.5000 0.5000 0.0000
```